Record 1
Computed X-ray powder pattern
Compound: TbHoO3
Radiation: Cu Kα, 1.54184 Å
Structure: a cell relaxed with PBE

Cell and atoms:
a = 6.3615 Å, b = 6.3615 Å, c = 6.3615 Å
α = 52.47°, β = 52.47°, γ = 52.47°
Sites, in units of the cell vectors:
Tb 0.1455 0.1455 0.1455
Tb 0.8545 0.8545 0.8545
Ho 0.3526 0.3526 0.3526
Ho 0.6474 0.6474 0.6474
O 0.0452 0.4587 0.7451
O 0.2549 0.5413 0.9548
O 0.4587 0.7451 0.0452
O 0.5413 0.9548 0.2549
O 0.7451 0.0452 0.4587
O 0.9548 0.2549 0.5413

Largest 10 diffraction maxima, in order of rising 2θ, 10° ≤ 2θ ≤ 90°:
d/Å, two_theta, I_rel
4.188, 21.21, 25
3.138, 28.44, 100
2.812, 31.82, 94
2.094, 43.20, 37
1.961, 46.31, 49
1.680, 54.64, 36
1.624, 56.70, 26
1.555, 59.43, 18
1.283, 73.86, 13
1.225, 78.00, 15

=====

Record 2
Computed X-ray powder pattern
Compound: TbHo2O4
Radiation: Cu Kα, 1.54184 Å
Structure: a cell relaxed with PBE

Cell and atoms:
a = 6.2494 Å, b = 6.2494 Å, c = 5.8393 Å
α = 116.08°, β = 116.08°, γ = 31.74°
Sites, in units of the cell vectors:
Tb 0.0000 0.0000 0.0000
Ho 0.2957 0.2957 0.2968
Ho 0.7043 0.7043 0.7032
O 0.1364 0.1364 0.4307
O 0.3522 0.3522 0.9795
O 0.6478 0.6478 0.0205
O 0.8636 0.8636 0.5693

Largest 10 diffraction maxima, in order of rising 2θ, 10° ≤ 2θ ≤ 90°:
d/Å, two_theta, I_rel
5.347, 16.58, 18
3.087, 28.93, 41
2.999, 29.79, 41
2.949, 30.31, 100
2.918, 30.64, 49
2.467, 36.42, 51
1.997, 45.42, 18
1.905, 47.74, 26
1.864, 48.87, 24
1.691, 54.26, 27

=====

Record 3
Computed X-ray powder pattern
Compound: Tb3HoTl2O
Radiation: Cu Kα, 1.54184 Å
Structure: a cell relaxed with PBE

Cell and atoms:
a = 8.8737 Å, b = 8.8737 Å, c = 8.8737 Å
α = 149.78°, β = 149.50°, γ = 43.47°
Sites, in units of the cell vectors:
Tb 0.0000 0.0000 0.0000
Tb 0.3289 0.8289 0.5000
Tb 0.6711 0.1711 0.5000
Ho 0.5000 0.5000 0.0000
Tl 0.1391 0.6391 0.5000
Tl 0.8609 0.3609 0.5000
O 0.5000 0.0000 0.5000

Largest 10 diffraction maxima, in order of rising 2θ, 10° ≤ 2θ ≤ 90°:
d/Å, two_theta, I_rel
3.286, 27.14, 25
3.052, 29.26, 73
2.748, 32.59, 34
2.569, 34.92, 100
2.334, 38.58, 33
2.313, 38.94, 32
1.779, 51.37, 19
1.770, 51.65, 18
1.643, 55.97, 22
1.410, 66.29, 17